(1)
This entry pairs a crystal structure of PmYH4 with its calculated X-ray diffraction stick pattern. Radiation: λ = 1.5418 Å (Cu Kα). Structure: a crystal structure in Alexandria, relaxed with PBE.
Neutral-atom scattering factors, no anomalous dispersion.

Top 6 peaks for 2θ = 15–90°, in order of rising 2θ:
2θ/deg  d [Å]  intensity  h k l
29.17  3.062  100.0  1 1 2
33.70  2.660  16.2  0 0 4
33.86  2.647  31.9  2 0 0
48.52  1.876  25.0  2 0 4
57.51  1.603  14.5  1 1 6
57.72  1.597  28.6  3 1 2

Cell and atoms:
Unit cell a=5.2949 b=5.2949 c=10.6392 alpha=90.00 beta=90.00 gamma=90.00
Space group I4_1/amd (No. 141, origin choice 2)
Inequivalent atoms, fractional coordinates:
Pm  0.0000  0.2500  0.3750 (multiplicity 4)
Y  0.0000  0.2500  0.8750 (multiplicity 4)
H  0.2400  0.0000  0.0000 (multiplicity 16)

(2)
This entry pairs a crystal structure of PmYH with its calculated X-ray diffraction stick pattern. Radiation: λ = 1.5418 Å (Cu Kα). Structure: a crystal structure in Alexandria, relaxed with PBE.
Neutral-atom scattering factors, no anomalous dispersion.

Top 6 peaks for 2θ = 15–90°, in order of rising 2θ:
2θ/deg  d [Å]  intensity  h k l
27.96  3.191  21.9  2 0 1
31.33  2.855  34.6  0 4 0
32.14  2.785  100.0  2 2 1
32.30  2.771  47.0  0 2 2
56.28  1.635  19.8  2 6 1
59.95  1.543  21.5  2 4 3

Cell and atoms:
Unit cell a=7.3851 b=11.4196 c=6.3395 alpha=90.00 beta=90.00 gamma=90.00
Space group Pna2_1 (No. 33)
Inequivalent atoms, fractional coordinates:
Pm  0.1245  0.2475  0.0000 (multiplicity 4)
Pm  0.1250  0.5016  0.6644 (multiplicity 4)
Y  0.1206  0.0029  0.6582 (multiplicity 4)
Y  0.1272  0.7542  0.9991 (multiplicity 4)
H  0.1207  0.1245  0.3400 (multiplicity 4)
H  0.1228  0.8785  0.3284 (multiplicity 4)

(3)
This entry pairs a crystal structure of Pr2H3 with its calculated X-ray diffraction stick pattern. Radiation: λ = 1.5418 Å (Cu Kα). Structure: a crystal structure in Alexandria, relaxed with PBE.
Neutral-atom scattering factors, no anomalous dispersion.

Top 6 peaks for 2θ = 15–90°, in order of rising 2θ:
2θ/deg  d [Å]  intensity  h k l
27.97  3.190  100.0  1 0 1
32.41  2.762  49.4  1 1 0
46.49  1.953  38.2  2 0 0
55.13  1.666  45.0  2 1 1
74.92  1.268  17.9  3 0 1
77.22  1.235  16.4  3 1 0

Cell and atoms:
Unit cell a=3.9061 b=3.9061 c=5.5268 alpha=90.00 beta=90.00 gamma=90.00
Space group P-4m2 (No. 115)
Inequivalent atoms, fractional coordinates:
Pr  0.0000  0.5000  0.2448 (multiplicity 2)
H  0.0000  0.0000  0.0000 (multiplicity 1)
H  0.0000  0.0000  0.5000 (multiplicity 1)
H  0.5000  0.5000  0.0000 (multiplicity 1)

(4)
This entry pairs a crystal structure of Pr8H with its calculated X-ray diffraction stick pattern. Radiation: λ = 1.5418 Å (Cu Kα). Structure: a crystal structure in Alexandria, relaxed with PBE.
Neutral-atom scattering factors, no anomalous dispersion.

Top 6 peaks for 2θ = 15–90°, in order of rising 2θ:
2θ/deg  d [Å]  intensity  h k l
27.41  3.254  23.4  2 0 0
29.70  3.008  25.0  0 0 2
31.25  2.862  100.0  0 2 1
48.46  1.879  19.7  2 2 0
53.69  1.707  21.1  0 2 3
57.87  1.593  22.7  2 2 2

Cell and atoms:
Unit cell a=7.5145 b=7.5145 c=6.0160 alpha=90.00 beta=90.00 gamma=120.00
Space group P-3m1 (No. 164)
Inequivalent atoms, fractional coordinates:
Pr  0.1652  0.3304  0.2489 (multiplicity 6)
Pr  0.3333  0.6667  0.7297 (multiplicity 2)
H  0.0000  0.0000  0.5000 (multiplicity 1)